Diffraction record for Be4FeAg. The X-ray powder pattern is computed, not measured: it uses a cell relaxed with PBE and CuKα.

Crystal structure
Cell lengths 6.1873, 6.1873, 6.1873 Å; angles 90.00, 90.00, 90.00 degrees
Space group F-43m (No. 216)
Inequivalent atoms, fractional coordinates:
Be: 0.1230 0.1230 0.1230 x16
Fe: 0.2500 0.2500 0.7500 x4
Ag: 0.0000 0.0000 0.5000 x4

Main lines, by angle (2θ from 10° to 90°):
- 2θ = 24.93°, I = 100
- 2θ = 28.86°, I = 11
- 2θ = 41.27°, I = 87
- 2θ = 48.82°, I = 67
- 2θ = 59.79°, I = 10
- 2θ = 65.79°, I = 18
- 2θ = 67.73°, I = 4
- 2θ = 75.24°, I = 26
- 2θ = 80.70°, I = 20
- 2θ = 89.63°, I = 11

=====

Diffraction record for Pm3DyH8. The X-ray powder pattern is computed, not measured: it uses a cell relaxed with PBE and CuKα.

Crystal structure
Cell lengths 5.3502, 5.3502, 5.3502 Å; angles 90.00, 90.00, 90.00 degrees
Space group Pm-3m (No. 221)
Inequivalent atoms, fractional coordinates:
Pm: 0.0000 0.0000 0.5000 x3
Dy: 0.5000 0.5000 0.5000 x1
H: 0.2562 0.2562 0.2562 x8

Main lines, by angle (2θ from 10° to 90°):
- 2θ = 28.90°, I = 100
- 2θ = 33.50°, I = 49
- 2θ = 48.10°, I = 38
- 2θ = 57.10°, I = 44
- 2θ = 59.89°, I = 13
- 2θ = 70.39°, I = 6
- 2θ = 77.82°, I = 18
- 2θ = 80.24°, I = 16
- 2θ = 89.81°, I = 13

=====

Diffraction record for ThGa2Rh4. The X-ray powder pattern is computed, not measured: it uses a cell relaxed with PBE and CuKα.

Crystal structure
Cell lengths 5.5410, 8.4808, 10.0252 Å; angles 90.00, 90.00, 90.00 degrees
Space group Fmmm (No. 69)
Inequivalent atoms, fractional coordinates:
Th: 0.0000 0.0000 0.0000 x4
Ga: 0.0000 0.0000 0.3102 x8
Rh: 0.0000 0.1955 0.5000 x8
Rh: 0.2500 0.2500 0.2500 x8

Main lines, by angle (2θ from 10° to 90°):
- 2θ = 32.31°, I = 30
- 2θ = 33.04°, I = 67
- 2θ = 35.83°, I = 71
- 2θ = 36.80°, I = 75
- 2θ = 37.08°, I = 87
- 2θ = 38.83°, I = 46
- 2θ = 42.64°, I = 39
- 2θ = 45.08°, I = 100
- 2θ = 65.20°, I = 31
- 2θ = 66.65°, I = 31

=====

Diffraction record for CuSi2Sb. The X-ray powder pattern is computed, not measured: it uses a cell relaxed with PBE and CuKα.

Crystal structure
Cell lengths 7.3782, 3.6071, 5.6624 Å; angles 90.00, 106.65, 90.00 degrees
Space group C2/m (No. 12)
Inequivalent atoms, fractional coordinates:
Cu: 0.0000 0.0000 0.0000 x2
Si: 0.2372 0.5000 0.1653 x4
Sb: 0.0000 0.5000 0.5000 x2

Main lines, by angle (2θ from 10° to 90°):
- 2θ = 25.20°, I = 34
- 2θ = 30.43°, I = 46
- 2θ = 33.02°, I = 26
- 2θ = 34.24°, I = 100
- 2θ = 35.48°, I = 41
- 2θ = 44.97°, I = 49
- 2θ = 50.61°, I = 17
- 2θ = 51.73°, I = 16
- 2θ = 53.09°, I = 16
- 2θ = 54.92°, I = 16